(1)
Theoretical XRD peak list
Compound: MgGa2
Radiation: Cu Kα (weighted mean of Kα1 and Kα2)
Structure: a cell relaxed with GGA-PBE
Peak positions follow from Bragg's law for the DFT cell and can differ from measured ones.

Peak list (12 most intense, 10° ≤ 2θ ≤ 90°, sorted by position)
2θ = 12.13°, rel. 9.2, (0 0 2); 2θ = 33.66°, rel. 24.5, (1 0 0); 2θ = 34.23°, rel. 5.3, (0 1 1); 2θ = 35.90°, rel. 6.4, (0 1 2); 2θ = 36.95°, rel. 24.4, (0 0 6); 2θ = 38.54°, rel. 100.0, (0 1 3); 2θ = 42.00°, rel. 7.5, (1 0 4); 2θ = 50.84°, rel. 14.5, (1 0 6); 2θ = 60.19°, rel. 17.5, (1 1 0); 2θ = 67.63°, rel. 16.8, (0 1 9); 2θ = 72.77°, rel. 18.7, (1 1 6); 2θ = 73.79°, rel. 13.8, (2 0 3)

Atomic structure:
Unit cell a=3.0746 b=3.0746 c=14.5980 alpha=90.00 beta=90.00 gamma=120.00
Space group P-3m1 (No. 164)
Asymmetric unit:
1 Mg 0.3333 0.6667 0.4076 x2
2 Ga 0.3333 0.6667 0.0852 x2
3 Ga 0.3333 0.6667 0.7552 x2

=====

(2)
Theoretical XRD peak list
Compound: MgGa2
Radiation: Cu Kα (weighted mean of Kα1 and Kα2)
Structure: a cell relaxed with GGA-PBE
Peak positions follow from Bragg's law for the DFT cell and can differ from measured ones.

Peak list (12 most intense, 10° ≤ 2θ ≤ 90°, sorted by position)
2θ = 12.00°, rel. 5.0, (0 0 2); 2θ = 18.04°, rel. 10.8, (0 0 3); 2θ = 33.79°, rel. 28.9, (1 0 0); 2θ = 34.35°, rel. 3.6, (1 0 1); 2θ = 36.54°, rel. 25.1, (0 0 6); 2θ = 38.56°, rel. 100.0, (1 0 3); 2θ = 50.61°, rel. 17.7, (1 0 6); 2θ = 60.45°, rel. 16.7, (1 1 0); 2θ = 67.12°, rel. 18.2, (1 0 9); 2θ = 72.74°, rel. 18.7, (1 1 6); 2θ = 74.03°, rel. 13.7, (2 0 3); 2θ = 82.66°, rel. 4.0, (2 0 6)

Atomic structure:
Unit cell a=3.0631 b=3.0631 c=14.7554 alpha=90.00 beta=90.00 gamma=120.00
Space group P-6m2 (No. 187)
Asymmetric unit:
1 Mg 0.0000 0.0000 0.1665 x2
2 Ga 0.0000 0.0000 0.5000 x1
3 Ga 0.6667 0.3333 0.0000 x1
4 Ga 0.6667 0.3333 0.3296 x2